Zn2W9O13: simulated X-ray diffraction stick pattern (CuKα), based on DFT lattice parameters and positions (PBE+U).

Cell and atoms:
a b c (Å): 3.3188 5.4907 18.7581
angles (deg): 97.52 90.59 93.40
Fractional coordinates of all 24 atoms:
Zn 0.1078 0.3133 0.2609
Zn 0.8922 0.6867 0.7391
W 0.1680 0.9559 0.0576
W 0.2582 0.6253 0.4571
W 0.4041 0.1854 0.8101
W 0.4092 0.8985 0.6084
W 0.5000 0.5000 0.0000
W 0.5908 0.1015 0.3916
W 0.5959 0.8146 0.1899
W 0.7418 0.3747 0.5429
W 0.8320 0.0441 0.9424
O 0.0156 0.6950 0.9616
O 0.0569 0.6100 0.2153
O 0.0644 0.8505 0.3869
O 0.1187 0.3414 0.3752
O 0.1235 0.0411 0.1655
O 0.4045 0.8979 0.7234
O 0.5000 0.0000 0.5000
O 0.5955 0.1021 0.2766
O 0.8765 0.9589 0.8345
O 0.8813 0.6586 0.6248
O 0.9356 0.1495 0.6131
O 0.9431 0.3900 0.7847
O 0.9844 0.3050 0.0384

Most intense lines, 2θ = 10–90°, low angle first:
- 4.986 Å, rel. 35.7, hkl 0 1 -2
- 3.719 Å, rel. 35.5, hkl 0 0 5
- 3.321 Å, rel. 61.3, hkl 0 1 4
- 2.898 Å, rel. 52.7, hkl 1 -1 1
- 2.702 Å, rel. 84.6, hkl 1 1 -2
- 2.618 Å, rel. 26.0, hkl 0 2 -3
- 2.520 Å, rel. 100.0, hkl 0 1 -7
- 2.451 Å, rel. 49.8, hkl 1 0 5
- 2.407 Å, rel. 29.4, hkl -1 1 4
- 2.107 Å, rel. 36.2, hkl 1 -2 3